Structure and computed X-ray diffraction stick pattern of Sr2TaAlO6 (DFT lattice parameters and positions (PBE); Cu Kα X-rays).

Largest 12 diffraction maxima, most intense first, 15 to 90 degrees two-theta:
2θ 32.20, intensity 100
2θ 19.55, intensity 40
2θ 57.41, intensity 40
2θ 46.18, intensity 34
2θ 37.95, intensity 25
2θ 67.37, intensity 20
2θ 76.64, intensity 18
2θ 50.60, intensity 11
2θ 61.25, intensity 8
2θ 70.91, intensity 8
2θ 85.57, intensity 7
2θ 88.88, intensity 5

Structure:
```
10
Lattice="0.0000 3.9315 3.9315 3.9315 0.0000 3.9315 3.9315 3.9315 0.0000" Properties=species:S:1:pos:R:3 pbc="T T T"
Sr 1.9657 1.9657 1.9657
Sr 5.8972 5.8972 5.8972
Ta 0.0000 0.0000 0.0000
Al 3.9315 3.9315 3.9315
O 3.9315 3.9315 1.9998
O 3.9315 1.9998 3.9315
O 5.8632 3.9315 3.9315
O 1.9998 3.9315 3.9315
O 3.9315 5.8632 3.9315
O 3.9315 3.9315 5.8632
```